No. 1
This entry pairs a crystal structure of Ca3Ga4Ag4 with its computed XRD peak list. Radiation: Cu Kα (λ = 1.5418 Å). Structure: a crystal structure in Alexandria, relaxed with PBE.
Peak positions follow from Bragg's law for the DFT cell and can differ from measured ones.

Crystal structure
```
11
Lattice="3.7289 0.0000 0.0000 0.0053 4.6230 0.0000 1.8633 2.1920 13.9126" Properties=species:S:1:pos:R:3 pbc="T T T"
Ca 0.0000 0.0000 0.0000
Ca 1.8657 4.5323 9.9434
Ca 3.7317 2.2826 3.9692
Ga 1.8701 4.5827 5.2549
Ga 1.8654 2.3026 1.2947
Ga 3.7321 4.5123 12.6179
Ga 3.7273 2.2322 8.6577
Ag 1.8640 2.2617 6.6831
Ag 1.8707 4.6099 2.6121
Ag 3.7268 2.2051 11.3005
Ag 3.7335 4.5532 7.2295
```

Largest 10 diffraction maxima, by angle, 10° ≤ 2θ ≤ 80°:
19.14°, d = 4.638 Å, I = 41.0; 24.08°, d = 3.696 Å, I = 69.1; 32.93°, d = 2.720 Å, I = 78.5; 33.39°, d = 2.684 Å, I = 100.0; 33.52°, d = 2.673 Å, I = 99.6; 38.97°, d = 2.311 Å, I = 81.6; 40.52°, d = 2.226 Å, I = 65.6; 40.81°, d = 2.211 Å, I = 53.5; 45.27°, d = 2.003 Å, I = 39.9; 48.85°, d = 1.864 Å, I = 41.4


No. 2
This entry pairs a crystal structure of PuBe5Au7 with its computed XRD peak list. Radiation: Cu Kα (λ = 1.5418 Å). Structure: a crystal structure in Alexandria, relaxed with PBE.
Peak positions follow from Bragg's law for the DFT cell and can differ from measured ones.

Crystal structure
```
13
Lattice="-2.5282 4.4341 4.4451 2.5282 -4.4341 4.4451 2.5282 4.4341 -4.4451" Properties=species:S:1:pos:R:3 pbc="T T T"
Pu 0.0000 0.0000 0.0000
Be 1.2948 2.2491 -2.0896
Be 3.7616 2.2491 -2.0896
Be 2.5282 0.0000 2.1328
Be -1.2334 2.1850 2.3555
Be 1.2334 2.1850 2.3555
Au 2.5282 1.7312 0.3503
Au 2.5282 -1.4137 4.2692
Au 0.0000 0.0000 2.9260
Au 2.5282 1.4137 4.2692
Au 0.0000 0.0000 5.8446
Au 0.0000 4.4341 2.5020
Au 0.0000 2.7029 4.7954
```

Largest 10 diffraction maxima, by angle, 10° ≤ 2θ ≤ 80°:
19.99°, d = 4.442 Å, I = 35.3; 28.43°, d = 3.139 Å, I = 23.3; 28.59°, d = 3.122 Å, I = 16.2; 31.86°, d = 2.809 Å, I = 19.5; 35.14°, d = 2.554 Å, I = 100.0; 35.51°, d = 2.528 Å, I = 52.2; 40.75°, d = 2.214 Å, I = 91.5; 63.52°, d = 1.465 Å, I = 18.4; 67.32°, d = 1.391 Å, I = 19.8; 74.12°, d = 1.279 Å, I = 15.3


No. 3
This entry pairs a crystal structure of InGe2SbTe5 with its computed XRD peak list. Radiation: Cu Kα (λ = 1.5418 Å). Structure: a crystal structure in Alexandria, relaxed with PBE.
Peak positions follow from Bragg's law for the DFT cell and can differ from measured ones.

Crystal structure
```
9
Lattice="4.2624 0.0000 0.0000 -2.1312 3.6914 0.0000 0.0000 0.0000 17.5329" Properties=species:S:1:pos:R:3 pbc="T T T"
In 0.0000 0.0000 0.0000
Ge 2.1312 1.2305 3.8204
Ge 2.1312 1.2305 9.6115
Sb 0.0000 2.4609 13.5514
Te 0.0000 0.0000 5.2459
Te 0.0000 0.0000 11.7897
Te 0.0000 2.4609 1.6002
Te 0.0000 2.4609 8.1867
Te 2.1312 1.2305 15.5644
```

Largest 10 diffraction maxima, by angle, 10° ≤ 2θ ≤ 80°:
28.60°, d = 3.121 Å, I = 100.0; 39.32°, d = 2.291 Å, I = 32.2; 42.41°, d = 2.131 Å, I = 36.6; 43.67°, d = 2.073 Å, I = 8.3; 51.96°, d = 1.760 Å, I = 18.7; 59.21°, d = 1.560 Å, I = 9.5; 64.84°, d = 1.438 Å, I = 9.3; 69.22°, d = 1.357 Å, I = 17.9; 75.51°, d = 1.259 Å, I = 9.2; 77.59°, d = 1.230 Å, I = 6.0


No. 4
This entry pairs a crystal structure of K2ScU3O12 with its computed XRD peak list. Radiation: Cu Kα (λ = 1.5418 Å). Structure: a crystal structure in Alexandria, relaxed with PBE.
Peak positions follow from Bragg's law for the DFT cell and can differ from measured ones.

Crystal structure
```
18
Lattice="4.0112 2.3158 6.1031 -4.0112 2.3158 6.1031 0.0000 -4.6317 6.1031" Properties=species:S:1:pos:R:3 pbc="T T T"
K 0.0000 0.0000 2.9264
K 0.0000 0.0000 15.3828
Sc 0.0000 0.0000 9.1546
U -2.0056 -1.1579 6.1031
U -2.0056 1.1579 12.2061
U 0.0000 2.3158 6.1031
O -1.5273 -0.8818 7.9942
O 0.0000 -1.7154 5.6295
O -1.4856 0.8577 5.6295
O 0.0000 -1.7636 10.3150
O -1.5273 0.8818 10.3150
O -1.4856 -0.8577 12.6797
O 1.4856 0.8577 5.6295
O 1.5273 -0.8818 7.9942
O 0.0000 1.7636 7.9942
O 1.4856 -0.8577 12.6797
O 0.0000 1.7154 12.6797
O 1.5273 0.8818 10.3150
```

Largest 10 diffraction maxima, by angle, 10° ≤ 2θ ≤ 80°:
13.63°, d = 6.496 Å, I = 75.7; 14.51°, d = 6.103 Å, I = 95.6; 26.11°, d = 3.413 Å, I = 97.3; 26.59°, d = 3.352 Å, I = 51.6; 27.47°, d = 3.247 Å, I = 100.0; 29.27°, d = 3.052 Å, I = 32.1; 32.35°, d = 2.767 Å, I = 34.1; 35.61°, d = 2.521 Å, I = 42.3; 45.21°, d = 2.006 Å, I = 36.0; 54.77°, d = 1.676 Å, I = 34.4